# 1
# Ce2PaS6
Calculated powder XRD pattern, Cu Ka. Input: a cell relaxed with PBE.
Kinematic intensities with the Lorentz-polarization factor, no thermal factor.

Largest 10 diffraction maxima, in order of rising 2θ, 2θ from 10° to 90°:
Position (°2θ)  I_rel  hkl
23.4  96  1 1 0
23.6  96  0 1 3
27.2  23  1 0 3
38.6  25  2 0 0
38.8  100  1 2 3
39.2  24  0 0 6
45.8  50  1 3 0
46.1  32  1 1 6
56.2  17  2 0 6
70.0  26  3 2 3

Cell and atoms:
```
data_Ce2PaS6
_cell_length_a 4.661
_cell_length_b 6.577
_cell_length_c 13.799
_cell_angle_alpha 90.00
_cell_angle_beta 90.00
_cell_angle_gamma 90.00
_symmetry_space_group_name_H-M 'I m m m'
_symmetry_Int_Tables_number 71
_symmetry_space_group_name_Hall '-I 2 2'
loop_
_atom_site_label
_atom_site_fract_x
_atom_site_fract_y
_atom_site_fract_z
Ce1 0.000 0.000 0.167
Pa1 0.000 0.000 0.500
S1 0.000 0.246 0.339
S2 0.000 0.262 0.000
```



# 2
# CePa2S5
Calculated powder XRD pattern, Cu Ka. Input: a cell relaxed with PBE.
Kinematic intensities with the Lorentz-polarization factor, no thermal factor.

Largest 10 diffraction maxima, in order of rising 2θ, 2θ from 10° to 90°:
Position (°2θ)  I_rel  hkl
24.1  50  0 0 2
25.4  100  3 0 1
26.8  50  1 2 1
27.1  54  2 2 0
33.3  28  0 2 2
34.2  60  3 2 1
36.6  60  2 2 2
46.0  44  5 2 1
49.3  29  3 2 3
53.4  36  3 4 1

Cell and atoms:
```
data_CePa2S5
_cell_length_a 11.981
_cell_length_b 7.857
_cell_length_c 7.371
_cell_angle_alpha 90.00
_cell_angle_beta 90.00
_cell_angle_gamma 90.00
_symmetry_space_group_name_H-M 'P n m a'
_symmetry_Int_Tables_number 62
loop_
_symmetry_equiv_pos_as_xyz
'x,y,z'
'-x,-y,-z'
'-x+1/2,-y,z+1/2'
'x+1/2,y,-z+1/2'
'x+1/2,-y+1/2,-z+1/2'
'-x+1/2,y+1/2,z+1/2'
'-x,y+1/2,-z'
'x,-y+1/2,z'
loop_
_atom_site_label
_atom_site_fract_x
_atom_site_fract_y
_atom_site_fract_z
Ce1 0.005 0.250 0.082
Pa1 0.180 0.000 0.514
S1 0.001 0.250 0.472
S2 0.108 0.545 0.162
S3 0.187 0.250 0.822
S4 0.218 0.750 0.791
```



# 3
# Ce3Pa5S8
Calculated powder XRD pattern, Cu Ka. Input: a cell relaxed with PBE.
Kinematic intensities with the Lorentz-polarization factor, no thermal factor.

Largest 10 diffraction maxima, in order of rising 2θ, 2θ from 10° to 90°:
Position (°2θ)  I_rel  hkl
27.3  25  0 0 6
27.9  70  2 0 2
32.2  100  0 2 4
45.7  38  2 0 8
46.5  36  2 2 0
54.8  24  2 2 6
57.7  19  4 0 4
75.9  17  2 2 12
77.2  16  2 4 4
85.8  13  4 2 8

Cell and atoms:
```
data_Ce3Pa5S8
_cell_length_a 7.8045
_cell_length_b 7.8045
_cell_length_c 19.6160
_cell_angle_alpha 90.00
_cell_angle_beta 90.00
_cell_angle_gamma 120.00
_symmetry_space_group_name_H-M 'R -3 m'
_symmetry_Int_Tables_number 166
_symmetry_space_group_name_Hall '-R 3 2"'
loop_
_atom_site_label
_atom_site_fract_x
_atom_site_fract_y
_atom_site_fract_z
Ce1 0.0000 0.5000 0.0000
Pa1 0.0000 0.0000 0.0000
Pa2 0.0000 0.0000 0.5000
Pa3 0.0000 0.5000 0.5000
S1 0.0000 0.0000 0.2479
S2 0.0027 0.5013 0.7512
```



# 4
# CePa5S6
Calculated powder XRD pattern, Cu Ka. Input: a cell relaxed with PBE.
Kinematic intensities with the Lorentz-polarization factor, no thermal factor.

Largest 10 diffraction maxima, in order of rising 2θ, 2θ from 10° to 90°:
Position (°2θ)  I_rel  hkl
27.4  53  1 3 -1
27.7  26  0 0 2
29.3  23  2 0 0
32.4  100  1 3 1
45.1  13  0 6 0
45.5  26  1 3 -3
47.6  23  3 3 -1
56.6  14  2 6 -2
67.9  12  4 0 -4
75.7  12  3 3 -5

Cell and atoms:
```
data_CePa5S6
_cell_length_a 6.528
_cell_length_b 12.059
_cell_length_c 6.897
_cell_angle_alpha 90.00
_cell_angle_beta 111.06
_cell_angle_gamma 90.00
_symmetry_space_group_name_H-M 'C 1 2/m 1'
_symmetry_Int_Tables_number 12
loop_
_symmetry_equiv_pos_as_xyz
'x,y,z'
'-x,-y,-z'
'-x,y,-z'
'x,-y,z'
'x+1/2,y+1/2,z'
'-x+1/2,-y+1/2,-z'
'-x+1/2,y+1/2,-z'
'x+1/2,-y+1/2,z'
loop_
_atom_site_label
_atom_site_fract_x
_atom_site_fract_y
_atom_site_fract_z
Ce1 0.000 0.000 0.000
Pa1 0.000 0.164 0.500
Pa2 0.000 0.333 0.000
Pa3 0.000 0.500 0.500
S1 0.245 0.500 0.249
S2 0.247 0.332 0.747
```



# 5
# CePa4Sb5
Calculated powder XRD pattern, Cu Ka. Input: a cell relaxed with PBE.
Kinematic intensities with the Lorentz-polarization factor, no thermal factor.

Largest 10 diffraction maxima, in order of rising 2θ, 2θ from 10° to 90°:
Position (°2θ)  I_rel  hkl
24.9  13  2 1 1
28.8  100  1 3 0
41.2  77  4 2 0
48.7  7  5 0 1
51.1  28  4 2 2
59.7  13  0 0 4
65.7  3  6 3 1
67.6  36  1 3 4
75.1  27  4 2 4
89.4  9  2 6 4

Cell and atoms:
```
data_CePa4Sb5
_cell_length_a 9.801
_cell_length_b 9.801
_cell_length_c 6.194
_cell_angle_alpha 90.00
_cell_angle_beta 90.00
_cell_angle_gamma 90.00
_symmetry_space_group_name_H-M 'I 4/m'
_symmetry_Int_Tables_number 87
_symmetry_space_group_name_Hall '-I 4'
loop_
_atom_site_label
_atom_site_fract_x
_atom_site_fract_y
_atom_site_fract_z
Ce1 0.000 0.000 0.000
Pa1 0.102 0.299 0.500
Sb1 0.000 0.000 0.500
Sb2 0.100 0.304 0.000
```



# 6
# Ce2PaSb4
Calculated powder XRD pattern, Cu Ka. Input: a cell relaxed with PBE.
Kinematic intensities with the Lorentz-polarization factor, no thermal factor.

Largest 10 diffraction maxima, in order of rising 2θ, 2θ from 10° to 90°:
Position (°2θ)  I_rel  hkl
21.8  18  1 0 1
25.6  32  1 0 2
30.8  16  0 0 4
33.0  100  1 1 2
37.2  24  1 0 4
41.6  32  2 0 0
49.5  11  2 1 2
52.6  14  2 0 4
57.0  14  2 1 4
70.4  22  3 1 2

Cell and atoms:
```
data_Ce2PaSb4
_cell_length_a 4.345
_cell_length_b 4.345
_cell_length_c 11.627
_cell_angle_alpha 90.00
_cell_angle_beta 90.00
_cell_angle_gamma 90.00
_symmetry_space_group_name_H-M 'P -4 m 2'
_symmetry_Int_Tables_number 115
loop_
_symmetry_equiv_pos_as_xyz
'x,y,z'
'y,-x,-z'
'-x,-y,z'
'-y,x,-z'
'-x,y,z'
'-y,-x,-z'
'x,-y,z'
'y,x,-z'
loop_
_atom_site_label
_atom_site_fract_x
_atom_site_fract_y
_atom_site_fract_z
Ce1 0.000 0.500 0.215
Pa1 0.000 0.000 0.500
Sb1 0.000 0.000 0.000
Sb2 0.000 0.500 0.689
Sb3 0.500 0.500 0.000
```



# 7
# TbCe2PaSb4
Calculated powder XRD pattern, Cu Ka. Input: a cell relaxed with PBE.
Kinematic intensities with the Lorentz-polarization factor, no thermal factor.

Largest 10 diffraction maxima, in order of rising 2θ, 2θ from 10° to 90°:
Position (°2θ)  I_rel  hkl
24.5  4  0 0 2
28.4  100  1 1 1
40.6  76  0 2 0
50.3  27  4 0 0
58.8  13  2 2 2
66.5  23  4 2 0
66.6  12  1 3 1
73.8  11  5 1 1
73.9  15  6 0 -2
88.0  4  0 4 0

Cell and atoms:
```
data_TbCe2PaSb4
_cell_length_a 7.692
_cell_length_b 4.440
_cell_length_c 7.702
_cell_angle_alpha 90.00
_cell_angle_beta 109.41
_cell_angle_gamma 90.00
_symmetry_space_group_name_H-M 'P 1 2/m 1'
_symmetry_Int_Tables_number 10
loop_
_symmetry_equiv_pos_as_xyz
'x,y,z'
'-x,-y,-z'
'-x,y,-z'
'x,-y,z'
loop_
_atom_site_label
_atom_site_fract_x
_atom_site_fract_y
_atom_site_fract_z
Tb1 0.000 0.000 0.000
Ce1 0.000 0.500 0.500
Ce2 0.500 0.000 0.500
Pa1 0.500 0.500 0.000
Sb1 0.249 0.500 0.243
Sb2 0.253 0.000 0.758
```



# 8
# Ce2TmPaSb4
Calculated powder XRD pattern, Cu Ka. Input: a cell relaxed with PBE.
Kinematic intensities with the Lorentz-polarization factor, no thermal factor.

Largest 10 diffraction maxima, in order of rising 2θ, 2θ from 10° to 90°:
Position (°2θ)  I_rel  hkl
24.6  5  0 0 2
28.5  100  1 1 1
40.8  76  0 2 0
50.5  20  2 2 -2
50.5  7  4 0 0
59.0  13  2 2 2
66.8  23  1 3 1
66.9  12  4 2 0
74.1  6  1 1 5
74.2  19  6 0 -2

Cell and atoms:
```
data_Ce2TmPaSb4
_cell_length_a 7.661
_cell_length_b 4.426
_cell_length_c 7.680
_cell_angle_alpha 90.00
_cell_angle_beta 109.45
_cell_angle_gamma 90.00
_symmetry_space_group_name_H-M 'P 1 2/m 1'
_symmetry_Int_Tables_number 10
loop_
_symmetry_equiv_pos_as_xyz
'x,y,z'
'-x,-y,-z'
'-x,y,-z'
'x,-y,z'
loop_
_atom_site_label
_atom_site_fract_x
_atom_site_fract_y
_atom_site_fract_z
Ce1 0.000 0.000 0.000
Ce2 0.500 0.500 0.000
Tm1 0.000 0.500 0.500
Pa1 0.500 0.000 0.500
Sb1 0.246 0.000 0.740
Sb2 0.251 0.500 0.259
```



# 9
# CePa4Se8
Calculated powder XRD pattern, Cu Ka. Input: a cell relaxed with PBE.
Kinematic intensities with the Lorentz-polarization factor, no thermal factor.

Largest 10 diffraction maxima, in order of rising 2θ, 2θ from 10° to 90°:
Position (°2θ)  I_rel  hkl
12.8  78  1 1 1
24.7  91  3 1 1
29.8  94  4 0 0
39.1  53  5 1 1
42.7  100  4 4 0
44.8  20  5 3 1
53.0  24  4 4 4
59.3  23  5 5 3
70.3  29  8 4 0
78.2  31  8 4 4

Cell and atoms:
```
data_CePa4Se8
_cell_length_a 11.976
_cell_length_b 11.976
_cell_length_c 11.976
_cell_angle_alpha 90.00
_cell_angle_beta 90.00
_cell_angle_gamma 90.00
_symmetry_space_group_name_H-M 'F -4 3 m'
_symmetry_Int_Tables_number 216
_symmetry_space_group_name_Hall 'F -4 2 3'
loop_
_atom_site_label
_atom_site_fract_x
_atom_site_fract_y
_atom_site_fract_z
Ce1 0.000 0.000 0.000
Pa1 0.119 0.119 0.619
Se1 0.120 0.120 0.380
Se2 0.137 0.137 0.863
```



# 10
# Ce3PaSe4
Calculated powder XRD pattern, Cu Ka. Input: a cell relaxed with PBE.
Kinematic intensities with the Lorentz-polarization factor, no thermal factor.

Largest 10 diffraction maxima, in order of rising 2θ, 2θ from 10° to 90°:
Position (°2θ)  I_rel  hkl
26.2  11  1 2 -1
30.4  100  1 2 1
43.3  13  0 4 0
43.5  25  3 2 -1
43.6  25  1 2 -3
43.7  12  2 0 2
53.8  13  2 4 -2
63.2  12  2 4 2
71.7  11  4 4 0
71.9  11  0 4 4

Cell and atoms:
```
data_Ce3PaSe4
_cell_length_a 7.205
_cell_length_b 8.355
_cell_length_c 7.177
_cell_angle_alpha 90.00
_cell_angle_beta 109.67
_cell_angle_gamma 90.00
_symmetry_space_group_name_H-M 'P 1 2/c 1'
_symmetry_Int_Tables_number 13
loop_
_symmetry_equiv_pos_as_xyz
'x,y,z'
'-x,-y,-z'
'-x,y,-z+1/2'
'x,-y,z+1/2'
loop_
_atom_site_label
_atom_site_fract_x
_atom_site_fract_y
_atom_site_fract_z
Ce1 0.000 0.123 0.250
Ce2 0.000 0.375 0.750
Ce3 0.500 0.375 0.250
Pa1 0.500 0.122 0.750
Se1 0.253 0.371 0.503
Se2 0.255 0.124 0.000
```



# 11
# Ce2PaSe5
Calculated powder XRD pattern, Cu Ka. Input: a cell relaxed with PBE.
Kinematic intensities with the Lorentz-polarization factor, no thermal factor.

Largest 10 diffraction maxima, in order of rising 2θ, 2θ from 10° to 90°:
Position (°2θ)  I_rel  hkl
24.3  57  3 0 1
24.9  46  1 2 1
25.5  43  2 2 0
31.9  39  1 2 2
34.4  100  2 2 2
35.8  55  4 2 0
38.9  34  2 1 3
42.7  42  0 4 0
43.8  60  5 2 1
49.8  54  6 0 2

Cell and atoms:
```
data_Ce2PaSe5
_cell_length_a 12.432
_cell_length_b 8.469
_cell_length_c 7.841
_cell_angle_alpha 90.00
_cell_angle_beta 90.00
_cell_angle_gamma 90.00
_symmetry_space_group_name_H-M 'P n m a'
_symmetry_Int_Tables_number 62
loop_
_symmetry_equiv_pos_as_xyz
'x,y,z'
'-x,-y,-z'
'-x+1/2,-y,z+1/2'
'x+1/2,y,-z+1/2'
'x+1/2,-y+1/2,-z+1/2'
'-x+1/2,y+1/2,z+1/2'
'-x,y+1/2,-z'
'x,-y+1/2,z'
loop_
_atom_site_label
_atom_site_fract_x
_atom_site_fract_y
_atom_site_fract_z
Ce1 0.177 0.000 0.030
Pa1 0.008 0.250 0.576
Se1 0.001 0.250 0.956
Se2 0.094 0.545 0.667
Se3 0.187 0.250 0.335
Se4 0.216 0.750 0.307
```



# 12
# Ce2Pa2Se7
Calculated powder XRD pattern, Cu Ka. Input: a cell relaxed with PBE.
Kinematic intensities with the Lorentz-polarization factor, no thermal factor.

Largest 10 diffraction maxima, in order of rising 2θ, 2θ from 10° to 90°:
Position (°2θ)  I_rel  hkl
22.3  100  1 0 2
36.8  85  1 1 4
36.9  43  2 0 0
43.4  17  1 0 6
43.6  35  2 1 2
53.2  15  2 2 0
58.3  14  2 1 6
66.2  14  2 0 8
66.5  30  3 1 4
78.3  9  2 2 8

Cell and atoms:
```
data_Ce2Pa2Se7
_cell_length_a 4.867
_cell_length_b 4.867
_cell_length_c 13.851
_cell_angle_alpha 90.00
_cell_angle_beta 90.00
_cell_angle_gamma 90.00
_symmetry_space_group_name_H-M 'P -4 m 2'
_symmetry_Int_Tables_number 115
loop_
_symmetry_equiv_pos_as_xyz
'x,y,z'
'y,-x,-z'
'-x,-y,z'
'-y,x,-z'
'-x,y,z'
'-y,-x,-z'
'x,-y,z'
'y,x,-z'
loop_
_atom_site_label
_atom_site_fract_x
_atom_site_fract_y
_atom_site_fract_z
Ce1 0.000 0.500 0.135
Pa1 0.000 0.500 0.625
Se1 0.000 0.000 0.247
Se2 0.000 0.000 0.500
Se3 0.500 0.500 0.000
Se4 0.500 0.500 0.260
Se5 0.500 0.500 0.500
```



Repeat the third record exactly.
# Ce3Pa5S8
Calculated powder XRD pattern, Cu Ka. Input: a cell relaxed with PBE.
Kinematic intensities with the Lorentz-polarization factor, no thermal factor.

Largest 10 diffraction maxima, in order of rising 2θ, 2θ from 10° to 90°:
Position (°2θ)  I_rel  hkl
27.3  25  0 0 6
27.9  70  2 0 2
32.2  100  0 2 4
45.7  38  2 0 8
46.5  36  2 2 0
54.8  24  2 2 6
57.7  19  4 0 4
75.9  17  2 2 12
77.2  16  2 4 4
85.8  13  4 2 8

Cell and atoms:
```
data_Ce3Pa5S8
_cell_length_a 7.8045
_cell_length_b 7.8045
_cell_length_c 19.6160
_cell_angle_alpha 90.00
_cell_angle_beta 90.00
_cell_angle_gamma 120.00
_symmetry_space_group_name_H-M 'R -3 m'
_symmetry_Int_Tables_number 166
_symmetry_space_group_name_Hall '-R 3 2"'
loop_
_atom_site_label
_atom_site_fract_x
_atom_site_fract_y
_atom_site_fract_z
Ce1 0.0000 0.5000 0.0000
Pa1 0.0000 0.0000 0.0000
Pa2 0.0000 0.0000 0.5000
Pa3 0.0000 0.5000 0.5000
S1 0.0000 0.0000 0.2479
S2 0.0027 0.5013 0.7512
```



Please write out number 4 again, unchanged.
# CePa5S6
Calculated powder XRD pattern, Cu Ka. Input: a cell relaxed with PBE.
Kinematic intensities with the Lorentz-polarization factor, no thermal factor.

Largest 10 diffraction maxima, in order of rising 2θ, 2θ from 10° to 90°:
Position (°2θ)  I_rel  hkl
27.4  53  1 3 -1
27.7  26  0 0 2
29.3  23  2 0 0
32.4  100  1 3 1
45.1  13  0 6 0
45.5  26  1 3 -3
47.6  23  3 3 -1
56.6  14  2 6 -2
67.9  12  4 0 -4
75.7  12  3 3 -5

Cell and atoms:
```
data_CePa5S6
_cell_length_a 6.528
_cell_length_b 12.059
_cell_length_c 6.897
_cell_angle_alpha 90.00
_cell_angle_beta 111.06
_cell_angle_gamma 90.00
_symmetry_space_group_name_H-M 'C 1 2/m 1'
_symmetry_Int_Tables_number 12
loop_
_symmetry_equiv_pos_as_xyz
'x,y,z'
'-x,-y,-z'
'-x,y,-z'
'x,-y,z'
'x+1/2,y+1/2,z'
'-x+1/2,-y+1/2,-z'
'-x+1/2,y+1/2,-z'
'x+1/2,-y+1/2,z'
loop_
_atom_site_label
_atom_site_fract_x
_atom_site_fract_y
_atom_site_fract_z
Ce1 0.000 0.000 0.000
Pa1 0.000 0.164 0.500
Pa2 0.000 0.333 0.000
Pa3 0.000 0.500 0.500
S1 0.245 0.500 0.249
S2 0.247 0.332 0.747
```